No. 1
The following is a computed powder diffractogram of Li3Co2O5. It was derived from the PBE+U geometry in the Materials Project, using CuKα.

The 12 most intense peaks (5 to 70 degrees two-theta), by angle:
Position (°2θ)	intensity
8.63	16.0
18.39	100.0
35.09	17.1
36.34	11.7
36.77	11.4
42.17	33.6
44.17	26.9
44.67	27.0
47.54	9.5
62.74	24.0
63.44	8.7
65.19	8.7

Cell and atoms:
```
data_Li3Co2O5
_cell_length_a 2.9371
_cell_length_b 5.9296
_cell_length_c 10.4221
_cell_angle_alpha 97.16
_cell_angle_beta 97.05
_cell_angle_gamma 93.13
_space_group_name_H-M_alt 'P -1'
_space_group_IT_number 2
loop_
_space_group_symop_operation_xyz
'x,y,z'
'-x,-y,-z'
loop_
_atom_site_label
_atom_site_type_symbol
_atom_site_fract_x
_atom_site_fract_y
_atom_site_fract_z
Li1 Li 0.0000 0.0000 0.0000
Li2 Li 0.0000 0.5000 0.0000
Li3 Li 0.1969 0.0978 0.3960
Li4 Li 0.4043 0.7082 0.8069
Co1 Co 0.1928 0.5973 0.3958
Co2 Co 0.4060 0.1958 0.8117
O1 O 0.0702 0.0304 0.2003
O2 O 0.1247 0.5680 0.2014
O3 O 0.2902 0.6340 0.5965
O4 O 0.3178 0.1686 0.6141
O5 O 0.4903 0.2470 0.9823
```

No. 2
The following is a computed powder diffractogram of NaSrCeFeO6. It was derived from the PBE+U geometry in the Materials Project, using CuKα.

The 12 most intense peaks (5 to 70 degrees two-theta), by angle:
Position (°2θ)	intensity
18.79	24.9
21.73	23.8
30.93	100.0
36.44	18.2
44.30	37.9
48.52	9.8
49.87	8.5
55.01	38.8
58.66	5.6
64.45	22.1
67.79	5.5
68.89	3.6

Cell and atoms:
```
data_NaSrCeFeO6
_cell_length_a 8.1782
_cell_length_b 8.1782
_cell_length_c 8.1782
_cell_angle_alpha 90.00
_cell_angle_beta 90.00
_cell_angle_gamma 90.00
_space_group_name_H-M_alt 'F -4 3 m'
_space_group_IT_number 216
_space_group_name_Hall 'F -4 2 3'
loop_
_atom_site_label
_atom_site_type_symbol
_atom_site_fract_x
_atom_site_fract_y
_atom_site_fract_z
Na1 Na 0.0000 0.0000 0.0000
Sr1 Sr 0.0000 0.0000 0.5000
Ce1 Ce 0.2500 0.2500 0.2500
Fe1 Fe 0.2500 0.2500 0.7500
O1 O 0.0166 0.2500 0.7500
```

No. 3
The following is a computed powder diffractogram of TiV3Fe2P6O24. It was derived from the PBE+U geometry in the Materials Project, using CuKα.

The 12 most intense peaks (5 to 70 degrees two-theta), by angle:
Position (°2θ)	intensity
20.47	69.8
24.22	100.0
25.21	18.1
31.80	16.1
33.13	60.3
35.84	31.8
42.35	8.2
47.47	29.5
49.61	22.6
56.08	20.8
56.66	14.5
62.70	15.6

Cell and atoms:
```
data_TiV3Fe2P6O24
_cell_length_a 8.6784
_cell_length_b 8.6784
_cell_length_c 20.7442
_cell_angle_alpha 90.00
_cell_angle_beta 90.00
_cell_angle_gamma 120.00
_space_group_name_H-M_alt 'R 3'
_space_group_IT_number 146
_space_group_name_Hall 'R 3'
loop_
_atom_site_label
_atom_site_type_symbol
_atom_site_fract_x
_atom_site_fract_y
_atom_site_fract_z
Ti1 Ti 0.0000 0.0000 0.0000
V1 V 0.0000 0.0000 0.2869
V2 V 0.0000 0.0000 0.5023
V3 V 0.0000 0.0000 0.7855
Fe1 Fe 0.0000 0.0000 0.1437
Fe2 Fe 0.0000 0.0000 0.6440
P1 P 0.9999 0.2932 0.8931
P2 P 0.9997 0.7081 0.3943
O1 O 0.0019 0.8052 0.4549
O2 O 0.0066 0.1914 0.9538
O3 O 0.0180 0.8349 0.0664
O4 O 0.0206 0.1874 0.5685
O5 O 0.1406 0.4705 0.4986
O6 O 0.1412 0.6701 0.9992
O7 O 0.1656 0.6824 0.3868
O8 O 0.1677 0.4823 0.8873
```

No. 4
The following is a computed powder diffractogram of MnOF. It was derived from the PBE+U geometry in the Materials Project, using CuKα.

The 12 most intense peaks (5 to 70 degrees two-theta), by angle:
Position (°2θ)	intensity
27.11	100.0
27.23	99.9
33.93	68.6
34.56	57.4
39.56	23.8
51.96	28.6
52.55	29.5
53.00	26.5
53.30	28.7
56.18	17.4
58.18	25.7
67.92	17.4

Cell and atoms:
```
data_MnOF
_cell_length_a 4.6408
_cell_length_b 4.6433
_cell_length_c 12.6909
_cell_angle_alpha 88.87
_cell_angle_beta 88.94
_cell_angle_gamma 89.72
_space_group_name_H-M_alt 'P 1'
_space_group_IT_number 1
loop_
_space_group_symop_operation_xyz
'x,y,z'
loop_
_atom_site_label
_atom_site_type_symbol
_atom_site_fract_x
_atom_site_fract_y
_atom_site_fract_z
Mn1 Mn 0.0000 0.0000 0.0000
Mn2 Mn 0.0081 0.0066 0.2506
Mn3 Mn 0.0198 0.0166 0.5022
Mn4 Mn 0.0699 0.0633 0.7514
Mn5 Mn 0.5010 0.5549 0.8760
Mn6 Mn 0.5219 0.5819 0.3775
Mn7 Mn 0.5645 0.5029 0.1238
Mn8 Mn 0.5806 0.5172 0.6287
O1 O 0.2010 0.8472 0.3746
O2 O 0.2155 0.8590 0.8766
O3 O 0.3591 0.3636 0.7518
O4 O 0.7078 0.7234 0.2537
O5 O 0.7100 0.6974 0.9992
O6 O 0.7354 0.7214 0.5068
O7 O 0.8314 0.1858 0.1232
O8 O 0.8740 0.2194 0.6273
F1 F 0.2360 0.7822 0.1242
F2 F 0.2776 0.8234 0.6263
F3 F 0.3012 0.3035 0.0025
F4 F 0.3240 0.3356 0.4919
F5 F 0.3260 0.3064 0.2404
F6 F 0.7678 0.7594 0.7532
F7 F 0.8013 0.2519 0.3750
F8 F 0.8048 0.2513 0.8761
```

No. 5
The following is a computed powder diffractogram of WF5. It was derived from the PBE+U geometry in the Materials Project, using CuKα.

The 12 most intense peaks (5 to 70 degrees two-theta), by angle:
Position (°2θ)	intensity
18.78	100.0
22.21	95.1
25.61	64.3
31.33	50.7
34.98	17.4
36.78	26.7
38.09	24.8
48.83	45.9
50.12	21.3
52.65	25.3
54.13	17.8
56.51	20.8

Cell and atoms:
```
data_WF5
_cell_length_a 3.7405
_cell_length_b 4.4188
_cell_length_c 9.4501
_cell_angle_alpha 90.00
_cell_angle_beta 90.00
_cell_angle_gamma 90.00
_space_group_name_H-M_alt 'I m m m'
_space_group_IT_number 71
_space_group_name_Hall '-I 2 2'
loop_
_atom_site_label
_atom_site_type_symbol
_atom_site_fract_x
_atom_site_fract_y
_atom_site_fract_z
W1 W 0.0000 0.0000 0.0000
F1 F 0.0000 0.0000 0.2022
F2 F 0.0000 0.2649 0.5000
F3 F 0.0000 0.5000 0.0000
```